[1]
# Y10Tl3Sn3
Computed powder XRD pattern, copper Kα. Input: a cell relaxed with GGA-PBE.
No peak broadening, texture or thermal motion is included.

Largest 10 diffraction maxima, low angle first, 10 to 90 degrees two-theta:
23.9°, I = 23; 26.7°, I = 30; 30.4°, I = 20; 33.3°, I = 100; 33.4°, I = 70; 34.6°, I = 36; 35.4°, I = 17; 44.1°, I = 31; 51.5°, I = 29; 66.3°, I = 23

Crystal structure
```
data_Y10Tl3Sn3
_chemical_formula_sum 'Y10 Tl3 Sn3'
_cell_length_a 8.9803
_cell_length_b 8.9803
_cell_length_c 6.6850
_cell_angle_alpha 90.00
_cell_angle_beta 90.00
_cell_angle_gamma 120.00
_symmetry_space_group_name_H-M 'P -6 2 m'
_symmetry_Int_Tables_number 189
_symmetry_space_group_name_Hall 'P -6 -2'
loop_
_atom_site_label
_atom_site_type_symbol
_atom_site_fract_x
_atom_site_fract_y
_atom_site_fract_z
Y1 Y 0.0000 0.2382 0.0000
Y2 Y 0.0000 0.7613 0.5000
Y3 Y 0.3333 0.6667 0.2470
Tl1 Tl 0.0000 0.6017 0.0000
Sn1 Sn 0.0000 0.3971 0.5000
```

***

[2]
# Tl3Zn2Sn9
Computed powder XRD pattern, copper Kα. Input: a cell relaxed with GGA-PBE.
No peak broadening, texture or thermal motion is included.

Largest 10 diffraction maxima, low angle first, 10 to 90 degrees two-theta:
28.4°, I = 100; 30.6°, I = 50; 31.6°, I = 92; 31.7°, I = 58; 34.4°, I = 51; 34.6°, I = 30; 34.7°, I = 44; 39.9°, I = 66; 40.0°, I = 26; 63.9°, I = 29

Crystal structure
```
data_Tl3Zn2Sn9
_chemical_formula_sum 'Tl6 Zn4 Sn18'
_cell_length_a 13.7829
_cell_length_b 13.1743
_cell_length_c 4.5130
_cell_angle_alpha 90.00
_cell_angle_beta 108.93
_cell_angle_gamma 90.00
_symmetry_space_group_name_H-M 'C 1 2/m 1'
_symmetry_Int_Tables_number 12
_symmetry_space_group_name_Hall '-C 2y'
loop_
_atom_site_label
_atom_site_type_symbol
_atom_site_fract_x
_atom_site_fract_y
_atom_site_fract_z
Tl1 Tl 0.0000 0.0000 0.0000
Tl2 Tl 0.2085 0.5000 0.7058
Zn1 Zn 0.0000 0.3352 0.5000
Sn1 Sn 0.0000 0.5000 0.0000
Sn2 Sn 0.1283 0.1360 0.6310
Sn3 Sn 0.1439 0.2979 0.1451
```

***

[3]
# Tl16ZnSn12
Computed powder XRD pattern, copper Kα. Input: a cell relaxed with GGA-PBE.
No peak broadening, texture or thermal motion is included.

Largest 10 diffraction maxima, low angle first, 10 to 90 degrees two-theta:
31.4°, I = 100; 31.5°, I = 41; 31.6°, I = 72; 31.8°, I = 45; 34.8°, I = 20; 35.3°, I = 12; 36.4°, I = 13; 55.8°, I = 19; 56.0°, I = 14; 56.3°, I = 11

Crystal structure
```
data_Tl16ZnSn12
_chemical_formula_sum 'Tl32 Zn2 Sn24'
_cell_length_a 11.9968
_cell_length_b 17.1172
_cell_length_c 10.3116
_cell_angle_alpha 90.00
_cell_angle_beta 124.52
_cell_angle_gamma 90.00
_symmetry_space_group_name_H-M 'C 1 m 1'
_symmetry_Int_Tables_number 8
_symmetry_space_group_name_Hall 'C -2y'
loop_
_atom_site_label
_atom_site_type_symbol
_atom_site_fract_x
_atom_site_fract_y
_atom_site_fract_z
Tl1 Tl 0.0000 0.0000 0.0000
Tl2 Tl 0.9997 0.0000 0.3627
Tl3 Tl 0.0108 0.3037 0.6689
Tl4 Tl 0.0418 0.3624 0.3661
Tl5 Tl 0.1991 0.2015 0.0398
Tl6 Tl 0.3151 0.0000 0.0673
Tl7 Tl 0.3183 0.3231 0.3583
Tl8 Tl 0.3398 0.3389 0.7588
Tl9 Tl 0.3752 0.0000 0.7072
Tl10 Tl 0.4413 0.1537 0.9567
Zn1 Zn 0.1324 0.5000 0.6790
Sn1 Sn 0.0858 0.0915 0.7203
Sn2 Sn 0.1408 0.5000 0.1845
Sn3 Sn 0.1790 0.1808 0.5426
Sn4 Sn 0.2284 0.4084 0.9851
Sn5 Sn 0.2697 0.0886 0.3513
Sn6 Sn 0.3010 0.5000 0.5486
Sn7 Sn 0.4946 0.3156 0.1729
```

***

[4]
# Zr6TlSn
Computed powder XRD pattern, copper Kα. Input: a cell relaxed with GGA-PBE.
No peak broadening, texture or thermal motion is included.

Largest 10 diffraction maxima, low angle first, 10 to 90 degrees two-theta:
22.2°, I = 14; 31.7°, I = 44; 35.5°, I = 73; 39.0°, I = 100; 58.9°, I = 16; 61.4°, I = 53; 66.1°, I = 16; 75.2°, I = 15; 77.4°, I = 14; 79.5°, I = 10

Crystal structure
```
data_Zr6TlSn
_chemical_formula_sum 'Zr18 Tl3 Sn3'
_cell_length_a 7.9985
_cell_length_b 7.9985
_cell_length_c 9.7828
_cell_angle_alpha 90.00
_cell_angle_beta 90.00
_cell_angle_gamma 120.00
_symmetry_space_group_name_H-M 'R -3'
_symmetry_Int_Tables_number 148
_symmetry_space_group_name_Hall '-R 3'
loop_
_atom_site_label
_atom_site_type_symbol
_atom_site_fract_x
_atom_site_fract_y
_atom_site_fract_z
Zr1 Zr 0.0003 0.2500 0.2500
Tl1 Tl 0.0000 0.0000 0.5000
Sn1 Sn 0.0000 0.0000 0.0000
```

***

[5]
# Zr2TlSn
Computed powder XRD pattern, copper Kα. Input: a cell relaxed with GGA-PBE.
No peak broadening, texture or thermal motion is included.

Largest 10 diffraction maxima, low angle first, 10 to 90 degrees two-theta:
27.1°, I = 9; 30.6°, I = 100; 41.9°, I = 42; 45.6°, I = 33; 49.4°, I = 9; 55.9°, I = 18; 63.6°, I = 12; 69.5°, I = 19; 74.9°, I = 15; 81.7°, I = 12

Crystal structure
```
data_Zr2TlSn
_chemical_formula_sum 'Zr6 Tl3 Sn3'
_cell_length_a 3.9810
_cell_length_b 3.9810
_cell_length_c 22.1257
_cell_angle_alpha 90.00
_cell_angle_beta 90.00
_cell_angle_gamma 120.00
_symmetry_space_group_name_H-M 'R -3 m'
_symmetry_Int_Tables_number 166
_symmetry_space_group_name_Hall '-R 3 2"'
loop_
_atom_site_label
_atom_site_type_symbol
_atom_site_fract_x
_atom_site_fract_y
_atom_site_fract_z
Zr1 Zr 0.0000 0.0000 0.2463
Tl1 Tl 0.0000 0.0000 0.0000
Sn1 Sn 0.0000 0.0000 0.5000
```

***

[6]
# Tm3Sn4
Computed powder XRD pattern, copper Kα. Input: a cell relaxed with GGA-PBE.
No peak broadening, texture or thermal motion is included.

Largest 10 diffraction maxima, low angle first, 10 to 90 degrees two-theta:
31.5°, I = 57; 32.1°, I = 30; 32.2°, I = 100; 33.7°, I = 27; 35.0°, I = 20; 36.2°, I = 22; 39.5°, I = 42; 42.0°, I = 33; 69.4°, I = 16; 72.5°, I = 14

Crystal structure
```
data_Tm3Sn4
_chemical_formula_sum 'Tm12 Sn16'
_cell_length_a 4.3000
_cell_length_b 11.3279
_cell_length_c 15.4012
_cell_angle_alpha 90.00
_cell_angle_beta 90.00
_cell_angle_gamma 90.00
_symmetry_space_group_name_H-M 'C m c m'
_symmetry_Int_Tables_number 63
_symmetry_space_group_name_Hall '-C 2c 2'
loop_
_atom_site_label
_atom_site_type_symbol
_atom_site_fract_x
_atom_site_fract_y
_atom_site_fract_z
Tm1 Tm 0.0000 0.0700 0.2500
Tm2 Tm 0.0000 0.3390 0.0983
Sn1 Sn 0.0000 0.0000 0.0000
Sn2 Sn 0.0000 0.1954 0.7500
Sn3 Sn 0.0000 0.3696 0.6078
```